Starting from a structure optimized by DFT (PBE), the powder diffraction line list of Ac6TbPr4 was computed for λ = 1.5418 Å (Cu Kα).

Main lines, low angle first (10° ≤ 2θ ≤ 90°):
- 25.21 deg, d 3.533, I 56
- 25.80 deg, d 3.453, I 41
- 27.50 deg, d 3.243, I 100
- 29.56 deg, d 3.022, I 67
- 31.38 deg, d 2.851, I 51
- 31.86 deg, d 2.809, I 60
- 37.23 deg, d 2.415, I 37
- 45.47 deg, d 1.995, I 30

Structural model:
```
11
Lattice="-3.4152 3.4152 10.3578 3.4152 -3.4152 10.3578 3.4152 3.4152 -10.3578" Properties=species:S:1:pos:R:3 pbc="T T T"
Ac 3.4152 0.0000 0.0000
Ac 2.0548 2.0548 -3.9233
Ac 1.3604 -1.3604 14.2811
Ac 0.0000 3.4152 0.0000
Ac 1.3604 1.3604 6.4345
Ac -1.3604 1.3604 14.2811
Tb 0.0000 0.0000 0.0000
Pr 2.0965 -2.0965 7.5661
Pr 1.3187 1.3187 2.7917
Pr -2.0965 2.0965 7.5661
Pr 2.0965 2.0965 13.1495
```


Starting from a structure optimized by DFT (PBE), the powder diffraction line list of Ac12TbPr3 was computed for λ = 1.5418 Å (Cu Kα).

Main lines, low angle first (10° ≤ 2θ ≤ 90°):
- 27.93 deg, d 3.195, I 100
- 32.35 deg, d 2.767, I 51
- 46.41 deg, d 1.957, I 39
- 55.00 deg, d 1.670, I 31
- 55.11 deg, d 1.666, I 16
- 57.71 deg, d 1.598, I 14
- 74.78 deg, d 1.270, I 19
- 77.02 deg, d 1.238, I 12

Structural model:
```
16
Lattice="5.5388 0.0000 0.0000 0.0000 5.5388 0.0000 0.0000 0.0000 22.0972" Properties=species:S:1:pos:R:3 pbc="T T T"
Ac 0.0000 0.0000 0.0000
Ac 0.0000 0.0000 5.4976
Ac 0.0000 0.0000 11.0486
Ac 0.0000 0.0000 16.5997
Ac 0.0000 2.7694 2.7268
Ac 0.0000 2.7694 8.2733
Ac 0.0000 2.7694 13.8239
Ac 0.0000 2.7694 19.3705
Ac 2.7694 0.0000 2.7268
Ac 2.7694 0.0000 8.2733
Ac 2.7694 0.0000 13.8239
Ac 2.7694 0.0000 19.3705
Tb 2.7694 2.7694 0.0000
Pr 2.7694 2.7694 5.4969
Pr 2.7694 2.7694 11.0486
Pr 2.7694 2.7694 16.6003
```